1.
Diffraction record for PrNiC2. The X-ray diffraction stick pattern is theoretical, not measured: it uses a crystal structure in the Materials Project, relaxed with GGA-PBE and λ = 1.5418 Å (Cu Kα).
Peak positions follow from Bragg's law for the DFT cell and can differ from measured ones.

Most intense lines, 2θ = 10–90°, in order of rising 2θ:
- 24.35°, intensity 25
- 29.14°, intensity 19
- 33.62°, intensity 100
- 37.33°, intensity 24
- 39.58°, intensity 16
- 46.62°, intensity 13
- 48.87°, intensity 17
- 49.90°, intensity 12
- 55.54°, intensity 13
- 68.02°, intensity 12

Structural model:
abc: 3.897 3.818 3.818
angles: 73.24 90.00 90.00
Fractional coordinates of all 4 atoms:
Pr 0.000 0.000 0.000
Ni 0.500 0.387 0.387
C 0.500 0.548 0.848
C 0.500 0.848 0.548



2.
Diffraction record for ScNiC2. The X-ray diffraction stick pattern is theoretical, not measured: it uses a crystal structure in the Materials Project, relaxed with GGA-PBE and λ = 1.5418 Å (Cu Kα).
Peak positions follow from Bragg's law for the DFT cell and can differ from measured ones.

Most intense lines, 2θ = 10–90°, in order of rising 2θ:
- 12.20°, intensity 82
- 24.55°, intensity 17
- 36.37°, intensity 25
- 37.19°, intensity 43
- 39.78°, intensity 100
- 45.52°, intensity 65
- 54.39°, intensity 37
- 64.56°, intensity 30
- 67.74°, intensity 26
- 80.54°, intensity 10

Structural model:
abc: 3.373 3.373 7.253
angles: 90.00 90.00 90.00
Fractional coordinates of all 8 atoms:
Sc 0.250 0.250 0.157
Sc 0.750 0.750 0.843
Ni 0.250 0.750 0.500
Ni 0.750 0.250 0.500
C 0.250 0.250 0.664
C 0.250 0.250 0.854
C 0.750 0.750 0.146
C 0.750 0.750 0.336



3.
Diffraction record for Ta2Ti2Ni2C. The X-ray diffraction stick pattern is theoretical, not measured: it uses a crystal structure in the Materials Project, relaxed with GGA-PBE and λ = 1.5418 Å (Cu Kα).
Peak positions follow from Bragg's law for the DFT cell and can differ from measured ones.

Most intense lines, 2θ = 10–90°, in order of rising 2θ:
- 13.29°, intensity 23
- 15.41°, intensity 17
- 33.87°, intensity 34
- 38.18°, intensity 48
- 38.29°, intensity 15
- 40.60°, intensity 100
- 40.77°, intensity 28
- 68.94°, intensity 27
- 69.15°, intensity 18
- 83.20°, intensity 13

Structural model:
abc: 8.151 8.151 8.151
angles: 119.81 119.81 90.32
Fractional coordinates of all 28 atoms:
Ta 0.182 0.182 0.365
Ta 0.182 0.818 0.000
Ta 0.183 0.183 0.000
Ta 0.565 0.065 0.500
Ta 0.817 0.817 0.000
Ta 0.818 0.182 0.000
Ta 0.818 0.818 0.635
Ta 0.935 0.435 0.500
Ti 0.375 0.624 0.751
Ti 0.376 0.128 0.751
Ti 0.376 0.625 0.249
Ti 0.567 0.067 0.134
Ti 0.567 0.433 0.500
Ti 0.872 0.624 0.249
Ti 0.933 0.067 0.500
Ti 0.933 0.433 0.866
Ni 0.170 0.509 0.340
Ni 0.170 0.830 0.340
Ni 0.170 0.830 0.660
Ni 0.238 0.412 0.826
Ni 0.491 0.830 0.660
Ni 0.585 0.412 0.174
Ni 0.588 0.415 0.826
Ni 0.588 0.762 0.174
C 0.379 0.128 0.251
C 0.872 0.123 0.251
C 0.872 0.621 0.749
C 0.877 0.128 0.749



4.
Diffraction record for Th2NiC2. The X-ray diffraction stick pattern is theoretical, not measured: it uses a crystal structure in the Materials Project, relaxed with GGA-PBE and λ = 1.5418 Å (Cu Kα).
Peak positions follow from Bragg's law for the DFT cell and can differ from measured ones.

Most intense lines, 2θ = 10–90°, in order of rising 2θ:
- 24.70°, intensity 34
- 29.02°, intensity 18
- 32.25°, intensity 100
- 33.62°, intensity 61
- 45.00°, intensity 22
- 48.29°, intensity 22
- 56.62°, intensity 16
- 57.87°, intensity 13
- 59.26°, intensity 37
- 80.59°, intensity 13

Structural model:
abc: 6.707 6.707 6.707
angles: 147.36 147.36 46.84
Fractional coordinates of all 5 atoms:
Th 0.146 0.146 0.000
Th 0.854 0.854 0.000
Ni 0.500 0.500 0.000
C 0.344 0.344 0.000
C 0.656 0.656 0.000



5.
Diffraction record for Tm4Ni13C4. The X-ray diffraction stick pattern is theoretical, not measured: it uses a crystal structure in the Materials Project, relaxed with GGA-PBE and λ = 1.5418 Å (Cu Kα).
Peak positions follow from Bragg's law for the DFT cell and can differ from measured ones.

Most intense lines, 2θ = 10–90°, in order of rising 2θ:
- 33.40°, intensity 79
- 33.76°, intensity 42
- 34.31°, intensity 30
- 38.27°, intensity 46
- 41.41°, intensity 22
- 41.86°, intensity 100
- 44.59°, intensity 40
- 45.15°, intensity 23
- 47.54°, intensity 45
- 67.22°, intensity 23

Structural model:
abc: 8.331 8.331 3.825
angles: 90.00 90.00 91.45
Fractional coordinates of all 21 atoms:
Tm 0.186 0.814 0.000
Tm 0.348 0.348 0.000
Tm 0.652 0.652 0.000
Tm 0.814 0.186 0.000
Ni 0.000 0.000 0.500
Ni 0.000 0.500 0.000
Ni 0.075 0.291 0.500
Ni 0.124 0.124 0.000
Ni 0.216 0.570 0.500
Ni 0.291 0.075 0.500
Ni 0.430 0.784 0.500
Ni 0.500 0.000 0.000
Ni 0.570 0.216 0.500
Ni 0.709 0.925 0.500
Ni 0.784 0.430 0.500
Ni 0.876 0.876 0.000
Ni 0.925 0.709 0.500
C 0.000 0.500 0.500
C 0.443 0.557 0.500
C 0.500 0.000 0.500
C 0.557 0.443 0.500



6.
Diffraction record for Tm4Ni2C5. The X-ray diffraction stick pattern is theoretical, not measured: it uses a crystal structure in the Materials Project, relaxed with GGA-PBE and λ = 1.5418 Å (Cu Kα).
Peak positions follow from Bragg's law for the DFT cell and can differ from measured ones.

Most intense lines, 2θ = 10–90°, in order of rising 2θ:
- 28.91°, intensity 77
- 33.88°, intensity 38
- 34.46°, intensity 100
- 35.18°, intensity 58
- 36.07°, intensity 72
- 38.63°, intensity 22
- 50.43°, intensity 21
- 51.44°, intensity 25
- 53.74°, intensity 35
- 58.95°, intensity 30

Structural model:
abc: 3.553 11.470 3.665
angles: 90.00 90.00 90.00
Fractional coordinates of all 11 atoms:
Tm 0.000 0.000 0.000
Tm 0.000 0.297 0.705
Tm 0.000 0.703 0.705
Tm 0.500 0.500 0.209
Ni 0.500 0.115 0.509
Ni 0.500 0.885 0.509
C 0.000 0.500 0.716
C 0.500 0.168 0.010
C 0.500 0.272 0.208
C 0.500 0.728 0.208
C 0.500 0.832 0.010



7.
Diffraction record for Ni2W11C4. The X-ray diffraction stick pattern is theoretical, not measured: it uses a crystal structure in the Materials Project, relaxed with GGA-PBE and λ = 1.5418 Å (Cu Kα).
Peak positions follow from Bragg's law for the DFT cell and can differ from measured ones.

Most intense lines, 2θ = 10–90°, in order of rising 2θ:
- 12.86°, intensity 23
- 35.22°, intensity 47
- 39.26°, intensity 17
- 40.18°, intensity 26
- 40.62°, intensity 46
- 40.83°, intensity 100
- 41.19°, intensity 41
- 41.86°, intensity 16
- 42.14°, intensity 44
- 70.43°, intensity 23

Structural model:
abc: 8.224 8.038 8.038
angles: 58.92 90.00 90.00
Fractional coordinates of all 34 atoms:
Ni 0.000 0.000 0.000
Ni 0.000 0.581 0.999
Ni 0.000 0.999 0.581
Ni 0.500 0.020 0.020
W 0.000 0.289 0.644
W 0.000 0.644 0.289
W 0.000 0.644 0.644
W 0.182 0.315 0.946
W 0.182 0.946 0.315
W 0.185 0.317 0.317
W 0.246 0.529 0.529
W 0.296 0.105 0.734
W 0.296 0.734 0.105
W 0.315 0.733 0.733
W 0.500 0.074 0.439
W 0.500 0.391 0.768
W 0.500 0.416 0.416
W 0.500 0.439 0.074
W 0.500 0.768 0.391
W 0.685 0.733 0.733
W 0.704 0.105 0.734
W 0.704 0.734 0.105
W 0.754 0.529 0.529
W 0.815 0.317 0.317
W 0.818 0.315 0.946
W 0.818 0.946 0.315
C 0.000 0.863 0.863
C 0.244 0.024 0.524
C 0.244 0.524 0.024
C 0.247 0.026 0.026
C 0.500 0.154 0.154
C 0.753 0.026 0.026
C 0.756 0.024 0.524
C 0.756 0.524 0.024



8.
Diffraction record for Ni10W3C3. The X-ray diffraction stick pattern is theoretical, not measured: it uses a crystal structure in the Materials Project, relaxed with GGA-PBE and λ = 1.5418 Å (Cu Kα).
Peak positions follow from Bragg's law for the DFT cell and can differ from measured ones.

Most intense lines, 2θ = 10–90°, in order of rising 2θ:
- 17.90°, intensity 30
- 27.90°, intensity 15
- 36.26°, intensity 30
- 37.17°, intensity 25
- 39.00°, intensity 14
- 42.41°, intensity 15
- 44.02°, intensity 100
- 46.33°, intensity 15
- 74.12°, intensity 18
- 75.25°, intensity 21

Structural model:
abc: 7.384 7.384 7.838
angles: 90.00 90.00 120.00
Fractional coordinates of all 32 atoms:
Ni 0.000 0.000 0.000
Ni 0.000 0.000 0.500
Ni 0.109 0.218 0.250
Ni 0.109 0.891 0.250
Ni 0.201 0.403 0.550
Ni 0.201 0.403 0.950
Ni 0.201 0.799 0.550
Ni 0.201 0.799 0.950
Ni 0.218 0.109 0.750
Ni 0.403 0.201 0.050
Ni 0.403 0.201 0.450
Ni 0.597 0.799 0.550
Ni 0.597 0.799 0.950
Ni 0.782 0.891 0.250
Ni 0.799 0.201 0.050
Ni 0.799 0.201 0.450
Ni 0.799 0.597 0.050
Ni 0.799 0.597 0.450
Ni 0.891 0.109 0.750
Ni 0.891 0.782 0.750
W 0.090 0.545 0.250
W 0.455 0.545 0.250
W 0.455 0.910 0.250
W 0.545 0.090 0.750
W 0.545 0.455 0.750
W 0.910 0.455 0.750
C 0.000 0.500 0.000
C 0.000 0.500 0.500
C 0.500 0.000 0.000
C 0.500 0.000 0.500
C 0.500 0.500 0.000
C 0.500 0.500 0.500